Calculated powder XRD pattern of LiBiP2O7 for Cu Kα X-rays, from a cell relaxed with PBE.
Neutral-atom scattering factors, no anomalous dispersion.

Atomic structure:
Unit cell a=6.7538 b=6.8053 c=6.9207 alpha=67.51 beta=83.69 gamma=83.15
Element x y z (fractional)
Li  0.0877  0.3436  0.1603
Li  0.9123  0.6564  0.8397
Bi  0.3402  0.7551  0.3876
Bi  0.6598  0.2449  0.6124
P  0.1366  0.2496  0.7359
P  0.3868  0.8226  0.8566
P  0.6132  0.1774  0.1434
P  0.8634  0.7504  0.2641
O  0.0180  0.8437  0.3476
O  0.0509  0.3636  0.8786
O  0.2589  0.7580  0.7246
O  0.2769  0.0451  0.8756
O  0.2766  0.3811  0.5489
O  0.3918  0.6692  0.0845
O  0.4031  0.1190  0.2518
O  0.5969  0.8810  0.7482
O  0.6082  0.3308  0.9155
O  0.7234  0.6189  0.4511
O  0.7231  0.9549  0.1244
O  0.7411  0.2420  0.2754
O  0.9491  0.6364  0.1214
O  0.9820  0.1563  0.6524

Most intense lines, 2θ from 10° to 90°, most intense first:
| 2θ (°) | I (rel.) |
| --- | --- |
| 29.2 | 100.0 |
| 15.7 | 84.5 |
| 20.2 | 74.3 |
| 26.2 | 74.0 |
| 13.9 | 71.6 |
| 28.5 | 69.5 |
| 13.2 | 63.3 |
| 18.6 | 50.8 |
| 31.4 | 49.3 |
| 19.1 | 39.1 |
| 27.9 | 38.7 |
| 41.9 | 36.2 |